V3P2O8: calculated powder X-ray diffraction pattern (Cu Kα, 1.54184 Å), based on a cell relaxed with PBE+U.
Intensities are scaled so that the largest is 100.

The 12 most intense peaks (15° ≤ 2θ ≤ 90°), by angle:
| 2theta | Rel. int. | index |
| --- | --- | --- |
| 22.2 | 74 | 1 0 2 |
| 24.8 | 100 | 1 1 1 |
| 29.1 | 38 | 2 0 0 |
| 31.1 | 58 | 0 1 3 |
| 34.3 | 93 | 1 1 -3 |
| 34.6 | 25 | 1 1 3 |
| 35.4 | 42 | 2 1 -1 |
| 35.7 | 38 | 2 1 1 |
| 49.1 | 20 | 1 1 5 |
| 50.6 | 31 | 2 2 -2 |
| 50.9 | 27 | 2 2 2 |
| 55.4 | 28 | 3 1 3 |

Cell and atoms:
a = 6.1414 Å, b = 4.8878 Å, c = 10.6648 Å
α = 90.00°, β = 90.88°, γ = 90.00°
Space group P2_1/c (No. 14)
Inequivalent atoms, fractional coordinates:
1 V 0.0000 0.0000 0.0000 [2 per cell]
2 V 0.2555 0.0097 0.7238 [4 per cell]
3 P 0.2469 0.5753 0.9030 [4 per cell]
4 O 0.0419 0.7295 0.8388 [4 per cell]
5 O 0.2258 0.2383 0.3953 [4 per cell]
6 O 0.2430 0.6826 0.0398 [4 per cell]
7 O 0.4406 0.6885 0.8279 [4 per cell]